[1]
The following is a calculated XRD peak list of ZrNpCl6. It was derived from a structure optimized by DFT (GGA-PBE), using Cu Kα (weighted mean of Kα1 and Kα2).

Principal peaks in the range 5° ≤ 2θ ≤ 70°, by angle:
Position (°2θ)  I (rel.)
13.78  100
15.15  35
27.77  9
28.11  13
28.85  12
31.33  11
32.45  10
32.76  8
36.24  19
39.25  12
41.58  9
42.18  15

Structural model:
abc: 7.805 11.698 6.640
angles: 90.00 99.89 90.00
Element x y z (fractional)
Zr (0.000, 0.000, 0.000)
Zr (0.500, 0.500, 0.000)
Np (0.000, 0.000, 0.500)
Np (0.500, 0.500, 0.500)
Cl (0.135, 0.152, 0.254)
Cl (0.135, 0.848, 0.254)
Cl (0.233, 0.500, 0.173)
Cl (0.267, 0.000, 0.827)
Cl (0.365, 0.348, 0.746)
Cl (0.365, 0.652, 0.746)
Cl (0.635, 0.348, 0.254)
Cl (0.635, 0.652, 0.254)
Cl (0.733, 0.000, 0.173)
Cl (0.767, 0.500, 0.827)
Cl (0.865, 0.152, 0.746)
Cl (0.865, 0.848, 0.746)

[2]
The following is a calculated XRD peak list of OsClO4. It was derived from a structure optimized by DFT (GGA-PBE), using Cu Kα (weighted mean of Kα1 and Kα2).

Principal peaks in the range 5° ≤ 2θ ≤ 70°, by angle:
Position (°2θ)  I (rel.)
17.60  100
19.59  86
21.43  94
21.72  56
27.89  17
30.70  64
34.31  32
35.62  14
37.56  32
39.77  15
49.40  17
49.69  17

Structural model:
abc: 8.185 6.397 5.443
angles: 90.00 90.00 90.00
Element x y z (fractional)
Os (0.000, 0.226, 0.000)
Os (0.500, 0.774, 0.500)
Cl (0.000, 0.650, 0.647)
Cl (0.500, 0.350, 0.147)
O (0.000, 0.100, 0.280)
O (0.000, 0.496, 0.052)
O (0.172, 0.156, 0.838)
O (0.328, 0.844, 0.338)
O (0.500, 0.504, 0.552)
O (0.500, 0.900, 0.780)
O (0.672, 0.844, 0.338)
O (0.828, 0.156, 0.838)

[3]
The following is a calculated XRD peak list of OsPb2ClO4. It was derived from a structure optimized by DFT (GGA-PBE), using Cu Kα (weighted mean of Kα1 and Kα2).

Principal peaks in the range 5° ≤ 2θ ≤ 70°, by angle:
Position (°2θ)  I (rel.)
10.05  100
21.51  38
25.72  35
28.06  34
28.51  40
31.30  71
33.93  28
38.56  24
38.79  49
41.03  19
46.60  19
51.07  18

Structural model:
abc: 9.928 3.398 9.694
angles: 90.00 114.82 90.00
Element x y z (fractional)
Os (0.000, 0.000, 0.000)
Os (0.500, 0.500, 0.000)
Pb (0.171, 0.000, 0.773)
Pb (0.329, 0.500, 0.227)
Pb (0.671, 0.500, 0.773)
Pb (0.829, 0.000, 0.227)
Cl (0.000, 0.500, 0.500)
Cl (0.500, 0.000, 0.500)
O (0.102, 0.500, 0.962)
O (0.148, 0.000, 0.202)
O (0.352, 0.500, 0.798)
O (0.398, 0.000, 0.038)
O (0.602, 0.000, 0.962)
O (0.648, 0.500, 0.202)
O (0.852, 0.000, 0.798)
O (0.898, 0.500, 0.038)

[4]
The following is a calculated XRD peak list of Rb5OsCl2O4. It was derived from a structure optimized by DFT (GGA-PBE), using Cu Kα (weighted mean of Kα1 and Kα2).

Principal peaks in the range 5° ≤ 2θ ≤ 70°, by angle:
Position (°2θ)  I (rel.)
10.01  48
15.05  37
24.78  45
25.21  100
26.62  53
26.79  27
28.90  97
30.66  20
36.69  75
50.65  30
50.82  23
63.27  29

Structural model:
abc: 8.835 6.265 6.265
angles: 110.01 90.00 90.00
Element x y z (fractional)
Rb (0.000, 0.000, 0.000)
Rb (0.299, 0.230, 0.612)
Rb (0.299, 0.612, 0.230)
Rb (0.701, 0.230, 0.612)
Rb (0.701, 0.612, 0.230)
Os (0.500, 0.931, 0.931)
Cl (0.000, 0.467, 0.887)
Cl (0.000, 0.887, 0.467)
O (0.332, 0.075, 0.075)
O (0.500, 0.606, 0.852)
O (0.500, 0.852, 0.606)
O (0.668, 0.075, 0.075)

[5]
The following is a calculated XRD peak list of TlOsClO4. It was derived from a structure optimized by DFT (GGA-PBE), using Cu Kα (weighted mean of Kα1 and Kα2).

Principal peaks in the range 5° ≤ 2θ ≤ 70°, by angle:
Position (°2θ)  I (rel.)
12.47  32
15.72  27
19.45  78
21.21  100
21.92  47
23.75  81
26.06  48
29.46  36
30.69  30
36.15  46
38.75  30
40.00  31

Structural model:
abc: 7.743 7.743 7.496
angles: 105.67 105.67 65.51
Element x y z (fractional)
Tl (0.163, 0.163, 0.019)
Tl (0.837, 0.837, 0.981)
Os (0.364, 0.364, 0.707)
Os (0.636, 0.636, 0.293)
Cl (0.042, 0.042, 0.269)
Cl (0.958, 0.958, 0.731)
O (0.146, 0.476, 0.786)
O (0.324, 0.324, 0.464)
O (0.476, 0.146, 0.786)
O (0.497, 0.497, 0.201)
O (0.503, 0.503, 0.799)
O (0.524, 0.854, 0.214)
O (0.676, 0.676, 0.536)
O (0.854, 0.524, 0.214)

[6]
The following is a calculated XRD peak list of Pr4PClO8. It was derived from a structure optimized by DFT (GGA-PBE), using Cu Kα (weighted mean of Kα1 and Kα2).

Principal peaks in the range 5° ≤ 2θ ≤ 70°, by angle:
Position (°2θ)  I (rel.)
13.39  21
22.38  24
29.50  100
30.35  41
40.97  15
43.46  20
45.68  7
49.42  7
51.80  23
53.40  36
61.23  9
67.58  9

Structural model:
abc: 13.229 5.885 5.894
angles: 90.00 90.00 90.00
Element x y z (fractional)
Pr (0.161, 0.013, 0.000)
Pr (0.168, 0.491, 0.529)
Pr (0.332, 0.509, 0.029)
Pr (0.339, 0.987, 0.500)
Pr (0.661, 0.987, 0.500)
Pr (0.668, 0.509, 0.029)
Pr (0.832, 0.491, 0.529)
Pr (0.839, 0.013, 0.000)
P (0.000, 0.532, 0.061)
P (0.500, 0.468, 0.561)
Cl (0.000, 0.008, 0.591)
Cl (0.500, 0.992, 0.091)
O (0.000, 0.461, 0.317)
O (0.000, 0.797, 0.053)
O (0.095, 0.436, 0.941)
O (0.233, 0.756, 0.261)
O (0.248, 0.241, 0.268)
O (0.252, 0.759, 0.768)
O (0.267, 0.244, 0.761)
O (0.405, 0.564, 0.441)
O (0.500, 0.203, 0.553)
O (0.500, 0.539, 0.817)
O (0.595, 0.564, 0.441)
O (0.733, 0.244, 0.761)
O (0.748, 0.759, 0.768)
O (0.752, 0.241, 0.268)
O (0.767, 0.756, 0.261)
O (0.905, 0.436, 0.941)

[7]
The following is a calculated XRD peak list of Rb5PCl2O4. It was derived from a structure optimized by DFT (GGA-PBE), using Cu Kα (weighted mean of Kα1 and Kα2).

Principal peaks in the range 5° ≤ 2θ ≤ 70°, by angle:
Position (°2θ)  I (rel.)
17.38  18
25.66  69
26.02  37
26.82  36
27.97  20
29.31  100
30.60  35
33.17  45
35.90  26
37.71  51
42.89  40
51.14  22

Structural model:
abc: 8.764 6.145 6.145
angles: 112.27 90.00 90.00
Element x y z (fractional)
Rb (0.000, 0.000, 0.000)
Rb (0.299, 0.219, 0.590)
Rb (0.299, 0.590, 0.219)
Rb (0.701, 0.219, 0.590)
Rb (0.701, 0.590, 0.219)
P (0.500, 0.908, 0.908)
Cl (0.000, 0.457, 0.863)
Cl (0.000, 0.863, 0.457)
O (0.354, 0.044, 0.044)
O (0.500, 0.648, 0.898)
O (0.500, 0.898, 0.648)
O (0.646, 0.044, 0.044)

[8]
The following is a calculated XRD peak list of RePCl6O3. It was derived from a structure optimized by DFT (GGA-PBE), using Cu Kα (weighted mean of Kα1 and Kα2).

Principal peaks in the range 5° ≤ 2θ ≤ 70°, by angle:
Position (°2θ)  I (rel.)
12.47  63
13.62  63
14.95  100
16.75  65
18.10  29
18.50  94
19.08  52
20.79  51
21.43  28
21.65  34
28.55  29
31.70  36

Structural model:
abc: 6.743 13.007 14.380
angles: 90.00 99.11 90.00
Element x y z (fractional)
Re (0.125, 0.212, 0.006)
Re (0.125, 0.288, 0.506)
Re (0.875, 0.712, 0.494)
Re (0.875, 0.788, 0.994)
P (0.402, 0.096, 0.676)
P (0.402, 0.404, 0.176)
P (0.598, 0.596, 0.824)
P (0.598, 0.904, 0.324)
Cl (0.055, 0.184, 0.161)
Cl (0.055, 0.316, 0.661)
Cl (0.129, 0.666, 0.001)
Cl (0.129, 0.834, 0.501)
Cl (0.195, 0.037, 0.745)
Cl (0.195, 0.463, 0.245)
Cl (0.417, 0.123, 0.057)
Cl (0.417, 0.377, 0.557)
Cl (0.426, 0.022, 0.348)
Cl (0.426, 0.478, 0.848)
Cl (0.426, 0.684, 0.731)
Cl (0.426, 0.816, 0.231)
Cl (0.574, 0.184, 0.769)
Cl (0.574, 0.316, 0.269)
Cl (0.574, 0.522, 0.152)
Cl (0.574, 0.978, 0.652)
Cl (0.583, 0.623, 0.443)
Cl (0.583, 0.877, 0.943)
Cl (0.805, 0.537, 0.755)
Cl (0.805, 0.963, 0.255)
Cl (0.871, 0.166, 0.499)
Cl (0.871, 0.334, 0.999)
Cl (0.945, 0.684, 0.339)
Cl (0.945, 0.816, 0.839)
O (0.015, 0.614, 0.549)
O (0.015, 0.886, 0.049)
O (0.223, 0.229, 0.415)
O (0.223, 0.271, 0.915)
O (0.317, 0.149, 0.587)
O (0.317, 0.351, 0.087)
O (0.683, 0.649, 0.913)
O (0.683, 0.851, 0.413)
O (0.777, 0.729, 0.085)
O (0.777, 0.771, 0.585)
O (0.985, 0.114, 0.951)
O (0.985, 0.386, 0.451)

[9]
The following is a calculated XRD peak list of SbPCl8O. It was derived from a structure optimized by DFT (GGA-PBE), using Cu Kα (weighted mean of Kα1 and Kα2).

Principal peaks in the range 5° ≤ 2θ ≤ 70°, by angle:
Position (°2θ)  I (rel.)
10.59  26
14.41  100
14.73  50
17.88  25
19.34  23
20.50  25
21.91  34
31.81  28
32.81  21
36.55  18
41.69  17
52.22  17

Structural model:
abc: 17.441 8.666 9.515
angles: 90.00 90.00 90.00
Element x y z (fractional)
Sb (0.149, 0.250, 0.083)
Sb (0.351, 0.750, 0.583)
Sb (0.649, 0.250, 0.417)
Sb (0.851, 0.750, 0.917)
P (0.081, 0.250, 0.727)
P (0.419, 0.750, 0.227)
P (0.581, 0.250, 0.773)
P (0.919, 0.750, 0.273)
Cl (0.024, 0.750, 0.350)
Cl (0.028, 0.250, 0.196)
Cl (0.133, 0.067, 0.647)
Cl (0.133, 0.433, 0.647)
Cl (0.143, 0.523, 0.061)
Cl (0.143, 0.977, 0.061)
Cl (0.222, 0.250, 0.291)
Cl (0.240, 0.750, 0.433)
Cl (0.260, 0.250, 0.933)
Cl (0.278, 0.750, 0.791)
Cl (0.357, 0.023, 0.561)
Cl (0.357, 0.477, 0.561)
Cl (0.367, 0.567, 0.147)
Cl (0.367, 0.933, 0.147)
Cl (0.472, 0.750, 0.696)
Cl (0.476, 0.250, 0.850)
Cl (0.524, 0.750, 0.150)
Cl (0.528, 0.250, 0.304)
Cl (0.633, 0.067, 0.853)
Cl (0.633, 0.433, 0.853)
Cl (0.643, 0.523, 0.439)
Cl (0.643, 0.977, 0.439)
Cl (0.722, 0.250, 0.209)
Cl (0.740, 0.750, 0.067)
Cl (0.760, 0.250, 0.567)
Cl (0.778, 0.750, 0.709)
Cl (0.857, 0.023, 0.939)
Cl (0.857, 0.477, 0.939)
Cl (0.867, 0.567, 0.353)
Cl (0.867, 0.933, 0.353)
Cl (0.972, 0.750, 0.804)
Cl (0.976, 0.250, 0.650)
O (0.078, 0.250, 0.884)
O (0.422, 0.750, 0.384)
O (0.578, 0.250, 0.616)
O (0.922, 0.750, 0.116)

[10]
The following is a calculated XRD peak list of SnP2Cl8O3. It was derived from a structure optimized by DFT (GGA-PBE), using Cu Kα (weighted mean of Kα1 and Kα2).

Principal peaks in the range 5° ≤ 2θ ≤ 70°, by angle:
Position (°2θ)  I (rel.)
10.67  20
10.84  60
12.08  100
12.37  27
15.13  47
21.42  25
21.68  20
22.13  70
23.12  17
27.72  21
30.16  17
31.27  16

Structural model:
abc: 9.108 9.298 11.192
angles: 71.17 71.93 66.37
Element x y z (fractional)
Sn (0.091, 0.199, 0.276)
Sn (0.909, 0.801, 0.724)
P (0.203, 0.798, 0.436)
P (0.222, 0.808, 0.856)
P (0.778, 0.192, 0.144)
P (0.797, 0.202, 0.564)
Cl (0.036, 0.517, 0.787)
Cl (0.182, 0.609, 0.402)
Cl (0.207, 0.789, 0.041)
Cl (0.239, 0.187, 0.422)
Cl (0.298, 0.993, 0.759)
Cl (0.304, 0.165, 0.089)
Cl (0.401, 0.613, 0.810)
Cl (0.445, 0.740, 0.416)
Cl (0.555, 0.260, 0.584)
Cl (0.599, 0.387, 0.190)
Cl (0.696, 0.835, 0.911)
Cl (0.702, 0.007, 0.241)
Cl (0.761, 0.813, 0.578)
Cl (0.793, 0.211, 0.959)
Cl (0.818, 0.391, 0.598)
Cl (0.964, 0.483, 0.213)
O (0.060, 0.829, 0.834)
O (0.126, 0.811, 0.574)
O (0.143, 0.941, 0.329)
O (0.857, 0.059, 0.671)
O (0.874, 0.189, 0.426)
O (0.940, 0.171, 0.166)